# RbIr4O8
Theoretical X-ray diffraction stick pattern, Cu Kα (weighted mean of Kα1 and Kα2). Input: a crystal structure in Alexandria, relaxed with PBE.
Peak positions follow from Bragg's law for the DFT cell and can differ from measured ones.

Atomic structure:
Lattice parameters (Å, degrees): 7.5646 7.5646 7.5646 49.52 49.52 49.52
Fractional positions:
Rb 0.0000 0.0000 0.0000
Ir 0.0000 0.0000 0.5000
Ir 0.0000 0.5000 0.0000
Ir 0.5000 0.0000 0.0000
Ir 0.5000 0.5000 0.5000
O 0.2117 0.2117 0.2117
O 0.2148 0.7125 0.7125
O 0.2875 0.2875 0.7852
O 0.2875 0.7852 0.2875
O 0.7125 0.2148 0.7125
O 0.7125 0.7125 0.2148
O 0.7852 0.2875 0.2875
O 0.7883 0.7883 0.7883

The 10 most intense peaks (15° ≤ 2θ ≤ 90°), in order of rising 2θ:
d/Å	two_theta	intensity
3.311	26.93	62.2
2.718	32.96	67.4
2.645	33.90	80.3
2.401	37.45	100.0
2.258	39.93	30.9
1.972	46.01	41.6
1.841	49.51	35.9
1.584	58.25	29.9
1.541	60.06	33.2
1.429	65.30	32.1

# RbScIrO6
Theoretical X-ray diffraction stick pattern, Cu Kα (weighted mean of Kα1 and Kα2). Input: a crystal structure in Alexandria, relaxed with PBE.
Peak positions follow from Bragg's law for the DFT cell and can differ from measured ones.

Atomic structure:
Lattice parameters (Å, degrees): 5.4005 5.4005 6.2957 90.00 90.00 120.00
Fractional positions:
Rb 0.0000 0.0000 0.0000
Sc 0.3333 0.6667 0.5000
Ir 0.6667 0.3333 0.5000
O 0.3995 0.0294 0.6729
O 0.3995 0.3701 0.3271
O 0.6299 0.0294 0.3271
O 0.6299 0.6005 0.6729
O 0.9706 0.3701 0.6729
O 0.9706 0.6005 0.3271

The 10 most intense peaks (15° ≤ 2θ ≤ 90°), in order of rising 2θ:
d/Å	two_theta	intensity
4.677	18.97	27.6
3.754	23.70	100.0
3.148	28.35	11.8
2.700	33.18	26.1
2.482	36.20	11.1
2.192	41.18	18.6
2.050	44.19	37.3
1.915	47.49	12.3
1.702	53.87	19.7
1.352	69.53	9.7

# Rb3Sm2IrO6
Theoretical X-ray diffraction stick pattern, Cu Kα (weighted mean of Kα1 and Kα2). Input: a crystal structure in Alexandria, relaxed with PBE.
Peak positions follow from Bragg's law for the DFT cell and can differ from measured ones.

Atomic structure:
Lattice parameters (Å, degrees): 6.0000 6.0000 6.8138 98.39 98.39 119.93
Fractional positions:
Rb 0.0000 0.0000 0.0000
Rb 0.3381 0.6619 0.0000
Rb 0.6619 0.3381 0.0000
Sm 0.1671 0.8329 0.5000
Sm 0.8329 0.1671 0.5000
Ir 0.5000 0.5000 0.5000
O 0.1276 0.4405 0.3215
O 0.2459 0.2459 0.6784
O 0.4405 0.1276 0.3215
O 0.5595 0.8724 0.6785
O 0.7541 0.7541 0.3216
O 0.8724 0.5595 0.6785

The 10 most intense peaks (15° ≤ 2θ ≤ 90°), in order of rising 2θ:
d/Å	two_theta	intensity
3.259	27.37	43.4
2.869	31.18	84.4
2.558	35.09	100.0
1.898	47.93	12.2
1.894	48.04	24.1
1.733	52.84	30.8
1.638	56.14	20.6
1.532	60.44	10.9
1.529	60.56	21.4
1.483	62.64	12.3

# Rb3Tm3IrO8
Theoretical X-ray diffraction stick pattern, Cu Kα (weighted mean of Kα1 and Kα2). Input: a crystal structure in Alexandria, relaxed with PBE.
Peak positions follow from Bragg's law for the DFT cell and can differ from measured ones.

Atomic structure:
Lattice parameters (Å, degrees): 7.6229 7.6229 7.6229 52.21 52.21 52.21
Fractional positions:
Rb 0.0000 0.5000 0.5000
Rb 0.5000 0.0000 0.5000
Rb 0.5000 0.5000 0.0000
Tm 0.0000 0.0000 0.5000
Tm 0.0000 0.5000 0.0000
Tm 0.5000 0.0000 0.0000
Ir 0.5000 0.5000 0.5000
O 0.2231 0.2231 0.2231
O 0.2423 0.7110 0.7110
O 0.2890 0.2890 0.7577
O 0.2890 0.7577 0.2890
O 0.7110 0.2423 0.7110
O 0.7110 0.7110 0.2423
O 0.7577 0.2890 0.2890
O 0.7769 0.7769 0.7769

The 10 most intense peaks (15° ≤ 2θ ≤ 90°), in order of rising 2θ:
d/Å	two_theta	intensity
3.283	27.16	48.8
2.874	31.12	21.8
2.786	32.13	82.9
2.502	35.89	100.0
2.021	44.85	14.8
1.878	48.47	36.3
1.677	54.73	30.2
1.630	56.44	23.2
1.493	62.15	30.3
1.393	67.20	15.2